Starting from a DFT-relaxed cell (GGA-PBE, the Materials Project), the X-ray diffraction stick pattern of Al2CuPd was computed for Cu Kα (λ = 1.5418 Å).
Lines closer than 0.1° are merged.

Principal peaks in the range 2θ from 10° to 90°, sorted by position:
2θ = 29.5°, rel. 382, hkl 2 0 0; 2θ = 42.2°, rel. 1000, hkl 2 2 0; 2θ = 52.3°, rel. 99, hkl 2 2 2; 2θ = 61.2°, rel. 160, hkl 4 0 0; 2θ = 69.4°, rel. 120, hkl 4 2 0; 2θ = 77.1°, rel. 317, hkl 4 2 2

```
data_Al2CuPd
_cell_length_a 6.0584
_cell_length_b 6.0584
_cell_length_c 6.0584
_cell_angle_alpha 90.00
_cell_angle_beta 90.00
_cell_angle_gamma 90.00
_symmetry_space_group_name_H-M 'F m -3 m'
_symmetry_Int_Tables_number 225
_symmetry_space_group_name_Hall '-F 4 2 3'
loop_
_atom_site_label
_atom_site_type_symbol
_atom_site_fract_x
_atom_site_fract_y
_atom_site_fract_z
_atom_site_occupancy
Al1 Al 0.2500 0.2500 0.2500 1
Cu1 Cu 0.0000 0.0000 0.0000 1
Pd1 Pd 0.0000 0.0000 0.5000 1
```

=====

Starting from a DFT-relaxed cell (GGA-PBE, the Materials Project), the X-ray diffraction stick pattern of PrAlCu was computed for Cu Kα (λ = 1.5418 Å).
Lines closer than 0.1° are merged.

Principal peaks in the range 2θ from 10° to 90°, sorted by position:
2θ = 23.2°, rel. 425, hkl 1 0 1; 2θ = 24.7°, rel. 596, hkl 1 1 0; 2θ = 30.9°, rel. 394, hkl 1 1 1; 2θ = 34.1°, rel. 1000, hkl 2 0 1; 2θ = 37.1°, rel. 309, hkl 0 0 2; 2θ = 42.6°, rel. 391, hkl 2 1 1

```
data_PrAlCu
_cell_length_a 7.2204
_cell_length_b 7.2204
_cell_length_c 4.8502
_cell_angle_alpha 90.00
_cell_angle_beta 90.00
_cell_angle_gamma 120.00
_symmetry_space_group_name_H-M 'P -6 2 m'
_symmetry_Int_Tables_number 189
_symmetry_space_group_name_Hall 'P -6 -2'
loop_
_atom_site_label
_atom_site_type_symbol
_atom_site_fract_x
_atom_site_fract_y
_atom_site_fract_z
_atom_site_occupancy
Pr1 Pr 0.0000 0.0000 0.0000 1
Pr2 Pr 0.3333 0.6667 0.5000 1
Al1 Al 0.0000 0.2178 0.5000 1
Cu1 Cu 0.0000 0.5668 0.0000 1
```

=====

Starting from a DFT-relaxed cell (GGA-PBE, the Materials Project), the X-ray diffraction stick pattern of Pr3Al28Cu8 was computed for Cu Kα (λ = 1.5418 Å).
Lines closer than 0.1° are merged.

Principal peaks in the range 2θ from 10° to 90°, sorted by position:
2θ = 14.1°, rel. 683, hkl 0 0 3; 2θ = 19.8°, rel. 434, hkl 1 1 -2; 2θ = 34.1°, rel. 433, hkl 1 3 4; 2θ = 39.6°, rel. 1000, hkl 0 4 6; 2θ = 39.9°, rel. 739, hkl 2 2 2; 2θ = 40.3°, rel. 943, hkl 2 2 -4

```
data_Pr3Al28Cu8
_cell_length_a 5.1744
_cell_length_b 13.2453
_cell_length_c 18.9216
_cell_angle_alpha 90.00
_cell_angle_beta 96.97
_cell_angle_gamma 90.00
_symmetry_space_group_name_H-M 'C 1 2/m 1'
_symmetry_Int_Tables_number 12
loop_
_symmetry_equiv_pos_as_xyz
'x,y,z'
'-x,-y,-z'
'-x,y,-z'
'x,-y,z'
'x+1/2,y+1/2,z'
'-x+1/2,-y+1/2,-z'
'-x+1/2,y+1/2,-z'
'x+1/2,-y+1/2,z'
loop_
_atom_site_label
_atom_site_type_symbol
_atom_site_fract_x
_atom_site_fract_y
_atom_site_fract_z
_atom_site_occupancy
Pr1 Pr 0.0000 0.0000 0.0000 1
Pr2 Pr 0.1701 0.5000 0.3343 1
Al1 Al 0.0000 0.0000 0.5000 1
Al2 Al 0.0000 0.5000 0.5000 1
Al3 Al 0.0303 0.3869 0.0728 1
Al4 Al 0.0557 0.1789 0.1161 1
Al5 Al 0.1111 0.3215 0.2169 1
Al6 Al 0.1360 0.1126 0.2595 1
Al7 Al 0.1674 0.0000 0.8335 1
Al8 Al 0.2031 0.1163 0.4046 1
Al9 Al 0.2221 0.3194 0.4486 1
Cu1 Cu 0.0827 0.2505 0.6681 1
Cu2 Cu 0.1661 0.5000 0.8335 1
Cu3 Cu 0.2500 0.2500 0.0000 1
```

=====

Starting from a DFT-relaxed cell (GGA-PBE, the Materials Project), the X-ray diffraction stick pattern of PrAlCu4 was computed for Cu Kα (λ = 1.5418 Å).
Lines closer than 0.1° are merged.

Principal peaks in the range 2θ from 10° to 90°, sorted by position:
2θ = 29.4°, rel. 703, hkl 1 0 1; 2θ = 33.5°, rel. 255, hkl 1 1 0; 2θ = 38.9°, rel. 548, hkl 2 0 0; 2θ = 40.5°, rel. 1000, hkl 1 1 1; 2θ = 45.0°, rel. 257, hkl 0 0 2; 2θ = 61.0°, rel. 278, hkl 2 0 2

```
data_PrAlCu4
_cell_length_a 5.3428
_cell_length_b 5.3428
_cell_length_c 4.0288
_cell_angle_alpha 90.00
_cell_angle_beta 90.00
_cell_angle_gamma 120.00
_symmetry_space_group_name_H-M 'P -6 m 2'
_symmetry_Int_Tables_number 187
_symmetry_space_group_name_Hall 'P -6 2'
loop_
_atom_site_label
_atom_site_type_symbol
_atom_site_fract_x
_atom_site_fract_y
_atom_site_fract_z
_atom_site_occupancy
Pr1 Pr 0.0000 0.0000 0.0000 1
Al1 Al 0.3333 0.6667 0.0000 1
Cu1 Cu 0.5009 0.0018 0.5000 1
Cu2 Cu 0.6667 0.3333 0.0000 1
```

=====

Starting from a DFT-relaxed cell (GGA-PBE, the Materials Project), the X-ray diffraction stick pattern of PrAl8Cu4 was computed for Cu Kα (λ = 1.5418 Å).
Lines closer than 0.1° are merged.

Principal peaks in the range 2θ from 10° to 90°, sorted by position:
2θ = 28.2°, rel. 357, hkl 2 1 1; 2θ = 28.3°, rel. 392, hkl 2 2 0; 2θ = 34.8°, rel. 279, hkl 3 0 1; 2θ = 40.1°, rel. 808, hkl 2 0 2; 2θ = 40.4°, rel. 1000, hkl 4 0 0; 2θ = 58.3°, rel. 295, hkl 4 2 2

```
data_PrAl8Cu4
_cell_length_a 8.9112
_cell_length_b 8.9112
_cell_length_c 5.2019
_cell_angle_alpha 90.00
_cell_angle_beta 90.00
_cell_angle_gamma 90.00
_symmetry_space_group_name_H-M 'I 4/m m m'
_symmetry_Int_Tables_number 139
_symmetry_space_group_name_Hall '-I 4 2'
loop_
_atom_site_label
_atom_site_type_symbol
_atom_site_fract_x
_atom_site_fract_y
_atom_site_fract_z
_atom_site_occupancy
Pr1 Pr 0.0000 0.0000 0.0000 1
Al1 Al 0.0000 0.2218 0.5000 1
Al2 Al 0.0000 0.3492 0.0000 1
Cu1 Cu 0.2500 0.2500 0.2500 1
```

=====

Starting from a DFT-relaxed cell (GGA-PBE, the Materials Project), the X-ray diffraction stick pattern of Pr2Al7Cu was computed for Cu Kα (λ = 1.5418 Å).
Lines closer than 0.1° are merged.

Principal peaks in the range 2θ from 10° to 90°, sorted by position:
2θ = 22.3°, rel. 500, hkl 1 0 1; 2θ = 29.6°, rel. 447, hkl 1 1 0; 2θ = 32.1°, rel. 919, hkl 1 0 3; 2θ = 33.8°, rel. 1000, hkl 1 1 2; 2θ = 42.3°, rel. 463, hkl 2 0 0; 2θ = 54.1°, rel. 414, hkl 2 1 3

```
data_Pr2Al7Cu
_cell_length_a 4.2745
_cell_length_b 4.2745
_cell_length_c 11.0125
_cell_angle_alpha 90.00
_cell_angle_beta 90.00
_cell_angle_gamma 90.00
_symmetry_space_group_name_H-M 'P 4 m m'
_symmetry_Int_Tables_number 99
loop_
_symmetry_equiv_pos_as_xyz
'x,y,z'
'-y,x,z'
'-x,-y,z'
'y,-x,z'
'-x,y,z'
'y,x,z'
'x,-y,z'
'-y,-x,z'
loop_
_atom_site_label
_atom_site_type_symbol
_atom_site_fract_x
_atom_site_fract_y
_atom_site_fract_z
_atom_site_occupancy
Pr1 Pr 0.0000 0.0000 0.0000 1
Pr2 Pr 0.5000 0.5000 0.4996 1
Al1 Al 0.0000 0.0000 0.3856 1
Al2 Al 0.0000 0.0000 0.6161 1
Al3 Al 0.0000 0.5000 0.2400 1
Al4 Al 0.0000 0.5000 0.7563 1
Al5 Al 0.5000 0.5000 0.9041 1
Cu1 Cu 0.5000 0.5000 0.1226 1
```

=====

Starting from a DFT-relaxed cell (GGA-PBE, the Materials Project), the X-ray diffraction stick pattern of PrAlCu was computed for Cu Kα (λ = 1.5418 Å).
Lines closer than 0.1° are merged.

Principal peaks in the range 2θ from 10° to 90°, sorted by position:
2θ = 24.9°, rel. 324, hkl 1 1 0; 2θ = 28.9°, rel. 292, hkl 2 0 0; 2θ = 32.7°, rel. 985, hkl 1 1 1; 2θ = 35.9°, rel. 1000, hkl 2 0 1; 2θ = 38.5°, rel. 297, hkl 2 1 0; 2θ = 58.0°, rel. 327, hkl 3 1 1

```
data_PrAlCu
_cell_length_a 7.1424
_cell_length_b 7.1424
_cell_length_c 4.2592
_cell_angle_alpha 90.00
_cell_angle_beta 90.00
_cell_angle_gamma 120.00
_symmetry_space_group_name_H-M 'P -6 2 m'
_symmetry_Int_Tables_number 189
_symmetry_space_group_name_Hall 'P -6 -2'
loop_
_atom_site_label
_atom_site_type_symbol
_atom_site_fract_x
_atom_site_fract_y
_atom_site_fract_z
_atom_site_occupancy
Pr1 Pr 0.0000 0.5849 0.0000 1
Al1 Al 0.0000 0.2270 0.5000 1
Cu1 Cu 0.0000 0.0000 0.0000 1
Cu2 Cu 0.3333 0.6667 0.5000 1
```

=====

Starting from a DFT-relaxed cell (GGA-PBE, the Materials Project), the X-ray diffraction stick pattern of AlCu2Re2 was computed for Cu Kα (λ = 1.5418 Å).
Lines closer than 0.1° are merged.

Principal peaks in the range 2θ from 10° to 90°, sorted by position:
2θ = 21.3°, rel. 159, hkl 1 1 0; 2θ = 22.7°, rel. 157, hkl 0 0 1; 2θ = 33.9°, rel. 177, hkl 2 1 0; 2θ = 41.2°, rel. 1000, hkl 2 1 1; 2θ = 46.4°, rel. 173, hkl 0 0 2; 2θ = 48.7°, rel. 180, hkl 3 1 0

```
data_AlCu2Re2
_cell_length_a 5.9116
_cell_length_b 5.9116
_cell_length_c 3.9120
_cell_angle_alpha 90.00
_cell_angle_beta 90.00
_cell_angle_gamma 90.00
_symmetry_space_group_name_H-M 'P 4/m b m'
_symmetry_Int_Tables_number 127
_symmetry_space_group_name_Hall '-P 4 2ab'
loop_
_atom_site_label
_atom_site_type_symbol
_atom_site_fract_x
_atom_site_fract_y
_atom_site_fract_z
_atom_site_occupancy
Al1 Al 0.0000 0.0000 0.0000 1
Cu1 Cu 0.1361 0.3639 0.0000 1
Re1 Re 0.1636 0.6636 0.5000 1
```

=====

Starting from a DFT-relaxed cell (GGA-PBE, the Materials Project), the X-ray diffraction stick pattern of Al7Cu2Rh was computed for Cu Kα (λ = 1.5418 Å).
Lines closer than 0.1° are merged.

Principal peaks in the range 2θ from 10° to 90°, sorted by position:
2θ = 22.7°, rel. 832, hkl 1 0 3; 2θ = 22.9°, rel. 469, hkl 1 1 2; 2θ = 39.7°, rel. 687, hkl 2 1 4; 2θ = 43.9°, rel. 1000, hkl 2 1 5; 2θ = 44.5°, rel. 464, hkl 3 1 0; 2θ = 44.9°, rel. 456, hkl 3 1 1

```
data_Al7Cu2Rh
_cell_length_a 6.4445
_cell_length_b 6.4445
_cell_length_c 14.7792
_cell_angle_alpha 90.00
_cell_angle_beta 90.00
_cell_angle_gamma 90.00
_symmetry_space_group_name_H-M 'P 4/m n c'
_symmetry_Int_Tables_number 128
_symmetry_space_group_name_Hall '-P 4 2n'
loop_
_atom_site_label
_atom_site_type_symbol
_atom_site_fract_x
_atom_site_fract_y
_atom_site_fract_z
_atom_site_occupancy
Al1 Al 0.0000 0.0000 0.1275 1
Al2 Al 0.0871 0.3015 0.4024 1
Al3 Al 0.1490 0.6490 0.2500 1
Cu1 Cu 0.0944 0.7323 0.0000 1
Rh1 Rh 0.0000 0.0000 0.2981 1
```

=====

Starting from a DFT-relaxed cell (GGA-PBE, the Materials Project), the X-ray diffraction stick pattern of Al7Cu2Ru was computed for Cu Kα (λ = 1.5418 Å).
Lines closer than 0.1° are merged.

Principal peaks in the range 2θ from 10° to 90°, sorted by position:
2θ = 22.7°, rel. 863, hkl 1 0 3; 2θ = 22.9°, rel. 476, hkl 1 1 2; 2θ = 39.6°, rel. 654, hkl 2 1 4; 2θ = 43.8°, rel. 1000, hkl 2 1 5; 2θ = 44.4°, rel. 438, hkl 3 1 0; 2θ = 44.9°, rel. 445, hkl 3 1 1

```
data_Al7Cu2Ru
_cell_length_a 6.4470
_cell_length_b 6.4470
_cell_length_c 14.8312
_cell_angle_alpha 90.00
_cell_angle_beta 90.00
_cell_angle_gamma 90.00
_symmetry_space_group_name_H-M 'P 4/m n c'
_symmetry_Int_Tables_number 128
_symmetry_space_group_name_Hall '-P 4 2n'
loop_
_atom_site_label
_atom_site_type_symbol
_atom_site_fract_x
_atom_site_fract_y
_atom_site_fract_z
_atom_site_occupancy
Al1 Al 0.0000 0.0000 0.1291 1
Al2 Al 0.0847 0.2999 0.4020 1
Al3 Al 0.1602 0.6602 0.2500 1
Cu1 Cu 0.0860 0.7318 0.0000 1
Ru1 Ru 0.0000 0.0000 0.3004 1
```

=====

Starting from a DFT-relaxed cell (GGA-PBE, the Materials Project), the X-ray diffraction stick pattern of Al2Cu3S6 was computed for Cu Kα (λ = 1.5418 Å).
Lines closer than 0.1° are merged.

Principal peaks in the range 2θ from 10° to 90°, sorted by position:
2θ = 19.0°, rel. 301, hkl 1 0 3; 2θ = 29.5°, rel. 1000, hkl 1 1 6; 2θ = 49.0°, rel. 427, hkl 2 0 12; 2θ = 49.4°, rel. 210, hkl 2 2 0; 2θ = 57.9°, rel. 127, hkl 1 1 18; 2θ = 58.6°, rel. 249, hkl 3 1 6

```
data_Al2Cu3S6
_cell_length_a 5.2153
_cell_length_b 5.2153
_cell_length_c 31.7679
_cell_angle_alpha 90.00
_cell_angle_beta 90.00
_cell_angle_gamma 90.00
_symmetry_space_group_name_H-M 'I -4 2 d'
_symmetry_Int_Tables_number 122
_symmetry_space_group_name_Hall 'I -4 2bw'
loop_
_atom_site_label
_atom_site_type_symbol
_atom_site_fract_x
_atom_site_fract_y
_atom_site_fract_z
_atom_site_occupancy
Al1 Al 0.0000 0.0000 0.1690 1
Cu1 Cu 0.0000 0.0000 0.0000 1
Cu2 Cu 0.0000 0.0000 0.3314 1
S1 S 0.2463 0.2469 0.5408 1
S2 S 0.2479 0.7500 0.6250 1
```

=====

Repeat the first record exactly.
Starting from a DFT-relaxed cell (GGA-PBE, the Materials Project), the X-ray diffraction stick pattern of Al2CuPd was computed for Cu Kα (λ = 1.5418 Å).
Lines closer than 0.1° are merged.

Principal peaks in the range 2θ from 10° to 90°, sorted by position:
2θ = 29.5°, rel. 382, hkl 2 0 0; 2θ = 42.2°, rel. 1000, hkl 2 2 0; 2θ = 52.3°, rel. 99, hkl 2 2 2; 2θ = 61.2°, rel. 160, hkl 4 0 0; 2θ = 69.4°, rel. 120, hkl 4 2 0; 2θ = 77.1°, rel. 317, hkl 4 2 2

```
data_Al2CuPd
_cell_length_a 6.0584
_cell_length_b 6.0584
_cell_length_c 6.0584
_cell_angle_alpha 90.00
_cell_angle_beta 90.00
_cell_angle_gamma 90.00
_symmetry_space_group_name_H-M 'F m -3 m'
_symmetry_Int_Tables_number 225
_symmetry_space_group_name_Hall '-F 4 2 3'
loop_
_atom_site_label
_atom_site_type_symbol
_atom_site_fract_x
_atom_site_fract_y
_atom_site_fract_z
_atom_site_occupancy
Al1 Al 0.2500 0.2500 0.2500 1
Cu1 Cu 0.0000 0.0000 0.0000 1
Pd1 Pd 0.0000 0.0000 0.5000 1
```